(1)
Simulated powder X-ray diffraction pattern
Compound: KBaCuF6
Radiation: λ = 1.5418 Å (Cu Kα)
Structure: a PBE-relaxed structure

Main lines, in order of falling intensity (10 to 80 degrees two-theta):
| 2theta | d_spacing | intensity | (hkl) |
| --- | --- | --- | --- |
| 24.03 | 3.703 | 100 | 1 0 1 |
| 45.79 | 1.982 | 37 | 2 -1 2 |
| 29.81 | 2.997 | 30 | 1 1 0 |
| 49.56 | 1.839 | 27 | 3 -1 1 |
| 38.65 | 2.330 | 26 | 2 0 1 |
| 17.08 | 5.191 | 21 | 1 0 0 |

Structural model:
```
data_KBaCuF6
_chemical_formula_sum 'K1 Ba1 Cu1 F6'
_cell_length_a 5.9943
_cell_length_b 5.9943
_cell_length_c 5.2829
_cell_angle_alpha 90.00
_cell_angle_beta 90.00
_cell_angle_gamma 120.00
_space_group_name_H-M_alt 'P 3 1 2'
_space_group_IT_number 149
loop_
_space_group_symop_operation_xyz
'x,y,z'
'-y,x-y,z'
'-x+y,-x,z'
'-y,-x,-z'
'-x+y,y,-z'
'x,x-y,-z'
loop_
_atom_site_label
_atom_site_fract_x
_atom_site_fract_y
_atom_site_fract_z
K1 0.0000 0.0000 0.0000
Ba1 0.6667 0.3333 0.5000
Cu1 0.3333 0.6667 0.0000
F1 0.0608 0.4104 0.2130
```

---

(2)
Simulated powder X-ray diffraction pattern
Compound: Li3Pa2Pt4
Radiation: λ = 1.5418 Å (Cu Kα)
Structure: a PBE-relaxed structure

Main lines, in order of falling intensity (10 to 80 degrees two-theta):
| 2theta | d_spacing | intensity | (hkl) |
| --- | --- | --- | --- |
| 36.76 | 2.445 | 100 | 2 2 1 |
| 38.76 | 2.323 | 84 | 0 2 3 |
| 35.30 | 2.543 | 81 | 1 5 1 |
| 41.10 | 2.196 | 66 | 2 0 2 |
| 22.81 | 3.898 | 49 | 0 4 0 |
| 25.91 | 3.439 | 39 | 0 4 1 |

Structural model:
```
data_Li3Pa2Pt4
_chemical_formula_sum 'Li12 Pa8 Pt16'
_cell_length_a 5.499
_cell_length_b 15.593
_cell_length_c 7.302
_cell_angle_alpha 90.00
_cell_angle_beta 90.00
_cell_angle_gamma 90.00
_space_group_name_H-M_alt 'C m c e'
_space_group_IT_number 64
_space_group_name_Hall '-C 2ac 2'
loop_
_atom_site_label
_atom_site_fract_x
_atom_site_fract_y
_atom_site_fract_z
Li1 0.000 0.000 0.000
Li2 0.250 0.223 0.250
Pa1 0.000 0.109 0.588
Pt1 0.000 0.170 0.952
Pt2 0.250 0.058 0.250
```

---

(3)
Simulated powder X-ray diffraction pattern
Compound: Nd4TlPt
Radiation: λ = 1.5418 Å (Cu Kα)
Structure: a PBE-relaxed structure

Main lines, in order of falling intensity (10 to 80 degrees two-theta):
| 2theta | d_spacing | intensity | (hkl) |
| --- | --- | --- | --- |
| 32.66 | 2.742 | 100 | 3 3 3 |
| 54.66 | 1.679 | 37 | 6 6 0 |
| 30.74 | 2.908 | 36 | 4 2 2 |
| 35.64 | 2.519 | 35 | 4 4 0 |
| 65.14 | 1.432 | 16 | 9 3 3 |
| 55.88 | 1.645 | 14 | 5 5 5 |

Structural model:
```
data_Nd4TlPt
_chemical_formula_sum 'Nd64 Tl16 Pt16'
_cell_length_a 14.248
_cell_length_b 14.248
_cell_length_c 14.248
_cell_angle_alpha 90.00
_cell_angle_beta 90.00
_cell_angle_gamma 90.00
_space_group_name_H-M_alt 'F -4 3 m'
_space_group_IT_number 216
_space_group_name_Hall 'F -4 2 3'
loop_
_atom_site_label
_atom_site_fract_x
_atom_site_fract_y
_atom_site_fract_z
Nd1 0.000 0.000 0.189
Nd2 0.059 0.250 0.750
Nd3 0.101 0.101 0.399
Tl1 0.165 0.165 0.165
Pt1 0.107 0.107 0.607
```

---

(4)
Simulated powder X-ray diffraction pattern
Compound: KU4Cu3Te12
Radiation: λ = 1.5418 Å (Cu Kα)
Structure: a PBE-relaxed structure

Main lines, in order of falling intensity (10 to 80 degrees two-theta):
| 2theta | d_spacing | intensity | (hkl) |
| --- | --- | --- | --- |
| 40.23 | 2.242 | 100 | 4 2 2 |
| 25.65 | 3.473 | 78 | 3 1 0 |
| 36.59 | 2.456 | 59 | 4 0 2 |
| 16.14 | 5.491 | 53 | 2 0 0 |
| 22.90 | 3.883 | 51 | 2 2 0 |
| 73.11 | 1.294 | 47 | 6 6 0 |

Structural model:
```
data_KU4Cu3Te12
_chemical_formula_sum 'K2 U8 Cu6 Te24'
_cell_length_a 10.983
_cell_length_b 10.983
_cell_length_c 10.983
_cell_angle_alpha 90.00
_cell_angle_beta 90.00
_cell_angle_gamma 90.00
_space_group_name_H-M_alt 'I m -3'
_space_group_IT_number 204
_space_group_name_Hall '-I 2 2 3'
loop_
_atom_site_label
_atom_site_fract_x
_atom_site_fract_y
_atom_site_fract_z
K1 0.000 0.000 0.000
U1 0.250 0.250 0.250
Cu1 0.000 0.000 0.500
Te1 0.000 0.168 0.322
```

---

(5)
Simulated powder X-ray diffraction pattern
Compound: YIn5Ag
Radiation: λ = 1.5418 Å (Cu Kα)
Structure: a PBE-relaxed structure

Main lines, in order of falling intensity (10 to 80 degrees two-theta):
| 2theta | d_spacing | intensity | (hkl) |
| --- | --- | --- | --- |
| 35.40 | 2.535 | 100 | 1 1 2 |
| 37.32 | 2.409 | 46 | 2 0 0 |
| 66.07 | 1.414 | 33 | 3 1 2 |
| 53.81 | 1.704 | 16 | 2 2 0 |
| 28.72 | 3.109 | 13 | 1 1 1 |
| 21.84 | 4.069 | 11 | 1 0 1 |

Structural model:
```
data_YIn5Ag
_chemical_formula_sum 'Y1 In5 Ag1'
_cell_length_a 4.819
_cell_length_b 4.819
_cell_length_c 7.593
_cell_angle_alpha 90.00
_cell_angle_beta 90.00
_cell_angle_gamma 90.00
_space_group_name_H-M_alt 'P 4/m m m'
_space_group_IT_number 123
_space_group_name_Hall '-P 4 2'
loop_
_atom_site_label
_atom_site_fract_x
_atom_site_fract_y
_atom_site_fract_z
Y1 0.000 0.000 0.000
In1 0.000 0.500 0.289
In2 0.500 0.500 0.000
Ag1 0.000 0.000 0.500
```

---

(6)
Simulated powder X-ray diffraction pattern
Compound: TiAlAu
Radiation: λ = 1.5418 Å (Cu Kα)
Structure: a PBE-relaxed structure

Main lines, in order of falling intensity (10 to 80 degrees two-theta):
| 2theta | d_spacing | intensity | (hkl) |
| --- | --- | --- | --- |
| 16.55 | 5.355 | 100 | 0 0 1 |
| 38.88 | 2.316 | 100 | 1 1 0 |
| 42.53 | 2.126 | 61 | 1 1 1 |
| 40.51 | 2.227 | 61 | 1 0 2 |
| 27.79 | 3.211 | 48 | 1 0 1 |
| 52.22 | 1.752 | 38 | 1 1 2 |

Structural model:
```
data_TiAlAu
_chemical_formula_sum 'Ti2 Al2 Au2'
_cell_length_a 4.6323
_cell_length_b 4.6323
_cell_length_c 5.3549
_cell_angle_alpha 90.00
_cell_angle_beta 90.00
_cell_angle_gamma 120.00
_space_group_name_H-M_alt 'P 6/m m m'
_space_group_IT_number 191
_space_group_name_Hall '-P 6 2'
loop_
_atom_site_label
_atom_site_fract_x
_atom_site_fract_y
_atom_site_fract_z
Ti1 0.0000 0.0000 0.2457
Al1 0.3333 0.6667 0.0000
Au1 0.3333 0.6667 0.5000
```